This entry pairs a crystal structure of Ac2MoPbO8 with its calculated powder diffractogram. Radiation: Cu Kα X-rays. Structure: a cell relaxed with PBE+U.

Atomic structure:
Cell lengths 5.791, 6.153, 6.650 Å; angles 75.72, 77.29, 68.75 degrees
Sites, in units of the cell vectors:
1 Ac 0.094 0.154 0.189
2 Ac 0.906 0.846 0.811
3 Mo 0.500 0.500 0.000
4 Pb 0.500 0.500 0.500
5 O 0.227 0.821 0.484
6 O 0.263 0.821 0.989
7 O 0.279 0.425 0.858
8 O 0.323 0.397 0.271
9 O 0.677 0.603 0.729
10 O 0.721 0.575 0.142
11 O 0.737 0.179 0.011
12 O 0.773 0.179 0.516

Largest 8 diffraction maxima, most intense first, 2θ = 10–90°:
two_theta	d_spacing	Rel. int.	hkl
26.5	3.368	100.0	1 -1 0
20.0	4.439	87.8	1 1 1
22.9	3.885	67.6	0 1 -1
29.5	3.023	57.3	0 1 2
30.5	2.931	53.7	1 0 2
23.2	3.831	51.0	1 0 -1
18.8	4.720	50.1	1 1 0
30.7	2.916	37.9	1 2 0